Structure and computed PXRD pattern of Na2Sb8S13O2 (a cell relaxed with PBE; Cu Kα (weighted mean of Kα1 and Kα2)).
Neutral-atom scattering factors, no anomalous dispersion.

Most intense lines, 2θ from 15° to 90°, in order of falling intensity:
2θ/deg  I/Imax  index
29.02  100  2 6 -1
22.58  57  2 0 0
21.54  56  0 4 1
15.40  43  0 0 1
31.09  43  0 0 2
24.97  35  2 0 -2
51.83  28  2 12 0
49.96  28  0 4 3
46.00  26  0 12 0
27.41  26  0 6 1
29.83  26  3 3 -1
35.40  25  2 8 -1

a b c (Å): 9.8781 23.6779 7.2230
angles (deg): 90.00 127.20 90.00
Space group Cm (No. 8)
One atom of each set of equivalent atoms:
Na  0.0000  0.0739  0.0000
Sb  0.0739  0.3324  0.4917
Sb  0.4010  0.0935  0.7771
Sb  0.4749  0.3316  0.5001
Sb  0.4818  0.2536  0.9643
S  0.0932  0.0747  0.4980
S  0.1523  0.1717  0.9381
S  0.2489  0.3947  0.4349
S  0.2789  0.3257  0.9308
S  0.3040  0.2254  0.5565
S  0.4583  0.0739  0.4957
S  0.4782  0.0000  0.9798
O  0.1532  0.0000  0.9680
O  0.3338  0.5000  0.9706